Diffraction record for Pr2Ga3Pt5. The powder diffractogram is calculated, not measured: it uses a GGA-PBE-relaxed structure and a wavelength of 1.5418 Å.
Peak positions follow from Bragg's law for the DFT cell and can differ from measured ones.

Top 6 peaks for 2θ from 10° to 90°, low angle first:
index  2θ (°)  d_spacing  I_rel
2 0 0  17.8  4.978  41
2 4 0  31.9  2.802  60
3 2 1  33.8  2.653  82
1 5 0  34.3  2.616  29
2 0 2  35.7  2.513  66
0 4 2  40.9  2.208  100

Crystal structure
Cell: 9.955 13.558 5.823 Å, 90.00 90.00 90.00°
Space group Ibam (No. 72)
Symmetry-distinct sites (fractional):
1 Pr 0.228 0.141 0.000 [8 per cell]
2 Ga 0.000 0.000 0.250 [4 per cell]
3 Ga 0.151 0.397 0.000 [8 per cell]
4 Pt 0.000 0.287 0.250 [8 per cell]
5 Pt 0.000 0.500 0.250 [4 per cell]
6 Pt 0.106 0.133 0.500 [8 per cell]


Diffraction record for HoPd5Pt5. The powder diffractogram is calculated, not measured: it uses a GGA-PBE-relaxed structure and a wavelength of 1.5418 Å.
Peak positions follow from Bragg's law for the DFT cell and can differ from measured ones.

Top 6 peaks for 2θ from 10° to 90°, low angle first:
index  2θ (°)  d_spacing  I_rel
1 1 2  33.5  2.672  28
0 2 2  38.3  2.349  16
2 0 0  40.3  2.240  100
1 2 -1  41.5  2.177  89
1 2 2  43.5  2.080  24
3 2 -1  74.0  1.281  16

Crystal structure
Cell: 4.479 5.480 7.801 Å, 83.97 89.95 89.94°
Space group P-1 (No. 2)
Symmetry-distinct sites (fractional):
1 Ho 0.000 0.000 0.000 [1 per cell]
2 Pd 0.000 0.500 0.000 [1 per cell]
3 Pd 0.001 0.828 0.648 [2 per cell]
4 Pd 0.500 0.407 0.175 [2 per cell]
5 Pt 0.000 0.337 0.682 [2 per cell]
6 Pt 0.500 0.077 0.722 [2 per cell]
7 Pt 0.500 0.500 0.500 [1 per cell]


Diffraction record for Nd2Dy12Er5. The powder diffractogram is calculated, not measured: it uses a GGA-PBE-relaxed structure and a wavelength of 1.5418 Å.
Peak positions follow from Bragg's law for the DFT cell and can differ from measured ones.

Top 6 peaks for 2θ from 10° to 90°, low angle first:
index  2θ (°)  d_spacing  I_rel
0 3 -1  31.4  2.850  35
2 -1 2  31.5  2.837  100
1 -3 1  31.7  2.824  45
2 1 -2  32.2  2.784  95
1 2 1  32.6  2.749  58
0 2 -4  33.1  2.706  54

Crystal structure
Cell: 6.734 8.767 11.326 Å, 111.03 92.48 100.60°
Space group P-1 (No. 2)
Symmetry-distinct sites (fractional):
1 Nd 0.157 0.384 0.071 [2 per cell]
2 Dy 0.120 0.780 0.247 [2 per cell]
3 Dy 0.156 0.977 0.866 [2 per cell]
4 Dy 0.166 0.572 0.685 [2 per cell]
5 Dy 0.338 0.554 0.412 [2 per cell]
6 Dy 0.382 0.139 0.233 [2 per cell]
7 Dy 0.386 0.306 0.773 [2 per cell]
8 Er 0.046 0.179 0.462 [2 per cell]
9 Er 0.380 0.736 0.985 [2 per cell]
10 Er 0.500 0.000 0.500 [1 per cell]


Diffraction record for Rb8BrO4. The powder diffractogram is calculated, not measured: it uses a GGA-PBE-relaxed structure and a wavelength of 1.5418 Å.
Peak positions follow from Bragg's law for the DFT cell and can differ from measured ones.

Top 6 peaks for 2θ from 10° to 90°, low angle first:
index  2θ (°)  d_spacing  I_rel
0 0 1  10.7  8.303  100
2 2 0  26.6  3.357  100
4 0 -3  26.9  3.311  49
4 0 0  32.3  2.771  72
2 2 -3  32.9  2.726  83
6 2 -3  42.9  2.107  56

Crystal structure
Cell: 14.597 8.433 10.927 Å, 90.00 130.55 90.00°
Space group C2/m (No. 12)
Symmetry-distinct sites (fractional):
1 Rb 0.003 0.000 0.171 [4 per cell]
2 Rb 0.017 0.500 0.849 [4 per cell]
3 Rb 0.248 0.264 0.831 [8 per cell]
4 Br 0.000 0.500 0.500 [2 per cell]
5 O 0.000 0.246 0.000 [4 per cell]
6 O 0.233 0.000 0.969 [4 per cell]